[1]
# K2Fe4O7
Theoretical powder XRD pattern, Cu Kα, 1.54184 Å. Input: a structure optimized by DFT (PBE+U).
No peak broadening, texture or thermal motion is included.

Peak list (10 most intense, 2θ from 10° to 90°, by angle)
2θ (°)	Rel. int.
12.86	41
32.80	100
34.66	95
37.11	10
43.76	23
48.46	35
60.94	31
62.11	31
65.07	36
82.48	11

Structure:
```
data_K2Fe4O7
_cell_length_a 5.1768
_cell_length_b 5.1768
_cell_length_c 6.8856
_cell_angle_alpha 90.00
_cell_angle_beta 90.00
_cell_angle_gamma 120.00
_symmetry_space_group_name_H-M 'P 1'
_symmetry_Int_Tables_number 1
loop_
_symmetry_equiv_pos_as_xyz
'x,y,z'
loop_
_atom_site_label
_atom_site_fract_x
_atom_site_fract_y
_atom_site_fract_z
K1 0.3333 0.6667 0.0000
K2 0.6667 0.3333 0.0000
Fe1 0.0000 0.0000 0.2765
Fe2 0.0000 0.0000 0.7235
Fe3 0.3333 0.6667 0.5000
Fe4 0.6667 0.3333 0.5000
O1 0.0000 0.0000 0.0000
O2 0.0000 0.3581 0.6582
O3 0.0000 0.6419 0.3418
O4 0.3581 0.0000 0.6582
O5 0.3581 0.3581 0.3418
O6 0.6419 0.0000 0.3418
O7 0.6419 0.6419 0.6582
```

[2]
# K3Fe2O4
Theoretical powder XRD pattern, Cu Kα, 1.54184 Å. Input: a structure optimized by DFT (PBE+U).
No peak broadening, texture or thermal motion is included.

Peak list (10 most intense, 2θ from 10° to 90°, by angle)
2θ (°)	Rel. int.
18.50	18
22.69	16
30.91	100
33.32	66
38.10	77
49.84	21
53.11	20
56.53	18
58.05	14
64.41	14

Structure:
```
data_K3Fe2O4
_cell_length_a 10.3474
_cell_length_b 9.1008
_cell_length_c 6.5342
_cell_angle_alpha 81.08
_cell_angle_beta 60.33
_cell_angle_gamma 38.60
_symmetry_space_group_name_H-M 'P 1'
_symmetry_Int_Tables_number 1
loop_
_symmetry_equiv_pos_as_xyz
'x,y,z'
loop_
_atom_site_label
_atom_site_fract_x
_atom_site_fract_y
_atom_site_fract_z
K1 0.0162 0.0162 0.2338
K2 0.2338 0.2338 0.0162
K3 0.3750 0.3750 0.3750
K4 0.6250 0.6250 0.6250
K5 0.7662 0.7662 0.9838
K6 0.9838 0.9838 0.7662
Fe1 0.1831 0.1831 0.5669
Fe2 0.4331 0.4331 0.8169
Fe3 0.5669 0.5669 0.1831
Fe4 0.8169 0.8169 0.4331
O1 0.0000 0.5000 0.5000
O2 0.0570 0.6930 0.0570
O3 0.3070 0.9430 0.3070
O4 0.5000 0.0000 0.5000
O5 0.5000 0.5000 0.0000
O6 0.5000 0.5000 0.5000
O7 0.6930 0.0570 0.6930
O8 0.9430 0.3070 0.9430
```

[3]
# KPaFe2O6
Theoretical powder XRD pattern, Cu Kα, 1.54184 Å. Input: a structure optimized by DFT (PBE+U).
No peak broadening, texture or thermal motion is included.

Peak list (10 most intense, 2θ from 10° to 90°, by angle)
2θ (°)	Rel. int.
16.60	100
16.98	37
21.10	22
24.10	58
25.10	43
26.29	27
29.57	28
32.26	27
34.32	16
35.97	17

Structure:
```
data_KPaFe2O6
_cell_length_a 7.6174
_cell_length_b 7.6174
_cell_length_c 6.4147
_cell_angle_alpha 104.18
_cell_angle_beta 104.18
_cell_angle_gamma 86.49
_symmetry_space_group_name_H-M 'P 1'
_symmetry_Int_Tables_number 1
loop_
_symmetry_equiv_pos_as_xyz
'x,y,z'
loop_
_atom_site_label
_atom_site_fract_x
_atom_site_fract_y
_atom_site_fract_z
K1 0.0926 0.9074 0.7500
K2 0.9074 0.0926 0.2500
Pa1 0.2836 0.7164 0.2500
Pa2 0.7164 0.2836 0.7500
Fe1 0.2195 0.3717 0.8421
Fe2 0.3717 0.2195 0.3421
Fe3 0.6283 0.7805 0.6579
Fe4 0.7805 0.6283 0.1579
O1 0.0043 0.7408 0.2876
O2 0.2080 0.6270 0.9073
O3 0.2592 0.9957 0.2124
O4 0.2898 0.3944 0.1674
O5 0.3730 0.7920 0.5927
O6 0.3944 0.2898 0.6674
O7 0.6056 0.7102 0.3326
O8 0.6270 0.2080 0.4073
O9 0.7102 0.6056 0.8326
O10 0.7408 0.0043 0.7876
O11 0.7920 0.3730 0.0927
O12 0.9957 0.2592 0.7124
```

[4]
# K2Pu3FeO12
Theoretical powder XRD pattern, Cu Kα, 1.54184 Å. Input: a structure optimized by DFT (PBE+U).
No peak broadening, texture or thermal motion is included.

Peak list (10 most intense, 2θ from 10° to 90°, by angle)
2θ (°)	Rel. int.
13.97	82
15.06	95
26.74	98
27.34	55
28.16	100
30.39	30
33.30	35
46.32	46
49.26	31
56.41	34

Structure:
```
data_K2Pu3FeO12
_cell_length_a 7.4226
_cell_length_b 7.4226
_cell_length_c 7.4226
_cell_angle_alpha 63.76
_cell_angle_beta 63.76
_cell_angle_gamma 63.76
_symmetry_space_group_name_H-M 'P 1'
_symmetry_Int_Tables_number 1
loop_
_symmetry_equiv_pos_as_xyz
'x,y,z'
loop_
_atom_site_label
_atom_site_fract_x
_atom_site_fract_y
_atom_site_fract_z
K1 0.1438 0.1438 0.1438
K2 0.8562 0.8562 0.8562
Pu1 0.0000 0.5000 0.5000
Pu2 0.5000 0.0000 0.5000
Pu3 0.5000 0.5000 0.0000
Fe1 0.5000 0.5000 0.5000
O1 0.1776 0.1776 0.5565
O2 0.1776 0.5565 0.1776
O3 0.1909 0.5610 0.5610
O4 0.4390 0.4390 0.8091
O5 0.4390 0.8091 0.4390
O6 0.4435 0.8224 0.8224
O7 0.5565 0.1776 0.1776
O8 0.5610 0.1909 0.5610
O9 0.5610 0.5610 0.1909
O10 0.8091 0.4390 0.4390
O11 0.8224 0.4435 0.8224
O12 0.8224 0.8224 0.4435
```

[5]
# K3PuFe2O9
Theoretical powder XRD pattern, Cu Kα, 1.54184 Å. Input: a structure optimized by DFT (PBE+U).
No peak broadening, texture or thermal motion is included.

Peak list (10 most intense, 2θ from 10° to 90°, by angle)
2θ (°)	Rel. int.
12.57	25
18.00	41
22.01	100
31.22	75
31.44	66
44.90	53
50.70	22
55.42	16
55.84	29
65.12	16

Structure:
```
data_K3PuFe2O9
_cell_length_a 5.6904
_cell_length_b 5.6904
_cell_length_c 7.0422
_cell_angle_alpha 90.00
_cell_angle_beta 90.00
_cell_angle_gamma 120.00
_symmetry_space_group_name_H-M 'P 1'
_symmetry_Int_Tables_number 1
loop_
_symmetry_equiv_pos_as_xyz
'x,y,z'
loop_
_atom_site_label
_atom_site_fract_x
_atom_site_fract_y
_atom_site_fract_z
K1 0.0000 0.0000 0.0000
K2 0.3333 0.6667 0.6742
K3 0.6667 0.3333 0.3258
Pu1 0.0000 0.0000 0.5000
Fe1 0.3333 0.6667 0.1493
Fe2 0.6667 0.3333 0.8507
O1 0.0000 0.5000 0.0000
O2 0.1664 0.3327 0.3349
O3 0.1664 0.8336 0.3349
O4 0.3327 0.1664 0.6651
O5 0.5000 0.0000 0.0000
O6 0.5000 0.5000 0.0000
O7 0.6673 0.8336 0.3349
O8 0.8336 0.1664 0.6651
O9 0.8336 0.6673 0.6651
```

[6]
# KFe2Ru2O7
Theoretical powder XRD pattern, Cu Kα, 1.54184 Å. Input: a structure optimized by DFT (PBE+U).
No peak broadening, texture or thermal motion is included.

Peak list (10 most intense, 2θ from 10° to 90°, by angle)
2θ (°)	Rel. int.
21.65	62
23.95	72
27.65	63
29.12	35
32.31	100
33.25	79
37.43	34
42.96	64
47.97	45
59.02	35

Structure:
```
data_KFe2Ru2O7
_cell_length_a 9.6256
_cell_length_b 9.6256
_cell_length_c 9.6256
_cell_angle_alpha 157.27
_cell_angle_beta 154.73
_cell_angle_gamma 34.24
_symmetry_space_group_name_H-M 'P 1'
_symmetry_Int_Tables_number 1
loop_
_symmetry_equiv_pos_as_xyz
'x,y,z'
loop_
_atom_site_label
_atom_site_fract_x
_atom_site_fract_y
_atom_site_fract_z
K1 0.0000 0.0000 0.0000
Fe1 0.2282 0.7282 0.5000
Fe2 0.7718 0.2718 0.5000
Ru1 0.3948 0.3948 0.0000
Ru2 0.6052 0.6052 0.0000
O1 0.1197 0.6197 0.5000
O2 0.2815 0.2815 0.0000
O3 0.3913 0.8913 0.5000
O4 0.5000 0.5000 0.0000
O5 0.6087 0.1087 0.5000
O6 0.7185 0.7185 0.0000
O7 0.8803 0.3803 0.5000
```

[7]
# K2FeSbO4
Theoretical powder XRD pattern, Cu Kα, 1.54184 Å. Input: a structure optimized by DFT (PBE+U).
No peak broadening, texture or thermal motion is included.

Peak list (10 most intense, 2θ from 10° to 90°, by angle)
2θ (°)	Rel. int.
18.30	34
19.56	66
27.72	58
30.87	77
31.04	37
33.11	100
38.42	32
49.49	37
53.65	19
54.03	20

Structure:
```
data_K2FeSbO4
_cell_length_a 8.0216
_cell_length_b 7.3685
_cell_length_c 5.8394
_cell_angle_alpha 90.00
_cell_angle_beta 126.64
_cell_angle_gamma 90.00
_symmetry_space_group_name_H-M 'P 1'
_symmetry_Int_Tables_number 1
loop_
_symmetry_equiv_pos_as_xyz
'x,y,z'
loop_
_atom_site_label
_atom_site_fract_x
_atom_site_fract_y
_atom_site_fract_z
K1 0.0000 0.0000 0.0000
K2 0.0000 0.2613 0.5000
K3 0.5000 0.5000 0.0000
K4 0.5000 0.7613 0.5000
Fe1 0.0000 0.4708 0.0000
Fe2 0.5000 0.9708 0.0000
Sb1 0.0000 0.7751 0.5000
Sb2 0.5000 0.2751 0.5000
O1 0.1135 0.5994 0.3609
O2 0.2087 0.3100 0.0676
O3 0.2913 0.8100 0.9324
O4 0.3865 0.0994 0.6391
O5 0.6135 0.0994 0.3609
O6 0.7087 0.8100 0.0676
O7 0.7913 0.3100 0.9324
O8 0.8865 0.5994 0.6391
```

[8]
# K2FeSnO4
Theoretical powder XRD pattern, Cu Kα, 1.54184 Å. Input: a structure optimized by DFT (PBE+U).
No peak broadening, texture or thermal motion is included.

Peak list (10 most intense, 2θ from 10° to 90°, by angle)
2θ (°)	Rel. int.
18.76	50
29.34	41
31.61	100
35.05	13
41.97	25
53.48	42
57.66	20
66.01	10
68.98	10
85.29	11

Structure:
```
data_K2FeSnO4
_cell_length_a 6.0885
_cell_length_b 6.0885
_cell_length_c 7.5138
_cell_angle_alpha 90.00
_cell_angle_beta 90.00
_cell_angle_gamma 90.00
_symmetry_space_group_name_H-M 'P 1'
_symmetry_Int_Tables_number 1
loop_
_symmetry_equiv_pos_as_xyz
'x,y,z'
loop_
_atom_site_label
_atom_site_fract_x
_atom_site_fract_y
_atom_site_fract_z
K1 0.0000 0.0000 0.0000
K2 0.0000 0.5000 0.2500
K3 0.5000 0.0000 0.7500
K4 0.5000 0.5000 0.5000
Fe1 0.0000 0.0000 0.5000
Fe2 0.5000 0.5000 0.0000
Sn1 0.0000 0.5000 0.7500
Sn2 0.5000 0.0000 0.2500
O1 0.1483 0.7298 0.6042
O2 0.2298 0.3517 0.8958
O3 0.2702 0.1483 0.3958
O4 0.3517 0.7702 0.1042
O5 0.6483 0.2298 0.1042
O6 0.7298 0.8517 0.3958
O7 0.7702 0.6483 0.8958
O8 0.8517 0.2702 0.6042
```